# 1
The following is a computed X-ray powder pattern of Pr5TmSn4. It was derived from a structure optimized by DFT (GGA-PBE), using Cu Kα (λ = 1.5418 Å).
Neutral-atom scattering factors, no anomalous dispersion.

Structure:
```
Pr5TmSn4
1.0
8.359 -2.713 0.000
8.359 2.713 0.000
-0.133 0.000 7.306
Pr Tm Sn
5 1 4
direct
0.000 0.000 0.000
0.333 0.333 0.494
0.335 0.335 0.001
0.665 0.665 0.999
0.667 0.667 0.506
0.000 0.000 0.500
0.172 0.172 0.748
0.493 0.493 0.739
0.507 0.507 0.261
0.828 0.828 0.252
```

Main lines, by intensity (10 to 90 degrees two-theta):
- 2θ 33.4, intensity 100.0
- 2θ 33.9, intensity 96.1
- 2θ 32.1, intensity 54.6
- 2θ 33.0, intensity 52.0
- 2θ 46.7, intensity 39.4
- 2θ 61.2, intensity 26.0


# 2
The following is a computed X-ray powder pattern of Pr3Nd5Pd2. It was derived from a structure optimized by DFT (GGA-PBE), using Cu Kα (λ = 1.5418 Å).
Neutral-atom scattering factors, no anomalous dispersion.

Structure:
```
Pr3Nd5Pd2
1.0
-6.070 7.549 3.572
6.070 -7.549 3.572
6.070 7.549 -3.572
Pr Nd Pd
6 10 4
direct
0.166 0.221 0.387
0.250 0.250 0.000
0.334 0.721 0.055
0.666 0.279 0.945
0.750 0.750 0.000
0.834 0.779 0.613
0.033 0.750 0.283
0.077 0.717 0.793
0.250 0.750 0.500
0.423 0.217 0.640
0.467 0.750 0.717
0.533 0.250 0.283
0.577 0.783 0.360
0.750 0.250 0.500
0.923 0.283 0.207
0.967 0.250 0.717
0.150 0.929 0.078
0.350 0.429 0.779
0.650 0.571 0.221
0.850 0.071 0.922
```

Main lines, by intensity (10 to 90 degrees two-theta):
- 2θ 29.0, intensity 100.0
- 2θ 34.6, intensity 55.0
- 2θ 27.7, intensity 49.1
- 2θ 29.4, intensity 44.8
- 2θ 27.8, intensity 42.5
- 2θ 34.8, intensity 39.7


# 3
The following is a computed X-ray powder pattern of NaAg5Bi2. It was derived from a structure optimized by DFT (GGA-PBE), using Cu Kα (λ = 1.5418 Å).
Neutral-atom scattering factors, no anomalous dispersion.

Structure:
```
NaAg5Bi2
1.0
-2.310 4.120 5.195
2.310 -4.120 5.195
2.310 4.120 -5.195
Na Ag Bi
1 5 2
direct
0.000 0.000 0.000
0.191 0.361 0.830
0.469 0.639 0.830
0.500 0.000 0.500
0.531 0.361 0.170
0.809 0.639 0.170
0.224 0.724 0.500
0.776 0.276 0.500
```

Main lines, by intensity (10 to 90 degrees two-theta):
- 2θ 38.1, intensity 100.0
- 2θ 32.3, intensity 91.2
- 2θ 41.4, intensity 67.2
- 2θ 42.0, intensity 63.2
- 2θ 39.0, intensity 52.0
- 2θ 17.1, intensity 43.4


# 4
The following is a computed X-ray powder pattern of Li8Zn2Rh. It was derived from a structure optimized by DFT (GGA-PBE), using Cu Kα (λ = 1.5418 Å).
Neutral-atom scattering factors, no anomalous dispersion.

Structure:
```
Li8Zn2Rh
1.0
3.591 -4.798 0.000
3.591 4.798 0.000
-3.529 0.000 5.822
Li Zn Rh
8 2 1
direct
0.071 0.557 0.270
0.097 0.097 0.363
0.386 0.386 0.783
0.443 0.929 0.730
0.557 0.071 0.270
0.614 0.614 0.217
0.903 0.903 0.637
0.929 0.443 0.730
0.207 0.207 0.059
0.793 0.793 0.941
0.500 0.500 0.500
```

Main lines, by intensity (10 to 90 degrees two-theta):
- 2θ 17.3, intensity 100.0
- 2θ 18.5, intensity 79.4
- 2θ 39.6, intensity 37.1
- 2θ 31.6, intensity 24.7
- 2θ 24.8, intensity 23.1
- 2θ 36.1, intensity 22.8


# 5
The following is a computed X-ray powder pattern of LiAlNi2. It was derived from a structure optimized by DFT (GGA-PBE), using Cu Kα (λ = 1.5418 Å).
Neutral-atom scattering factors, no anomalous dispersion.

Structure:
```
LiAlNi2
1.0
2.584 0.000 0.000
0.000 3.681 0.000
0.000 0.000 5.017
Li Al Ni
1 1 2
direct
0.000 0.000 0.000
0.500 0.500 0.707
0.000 0.000 0.487
0.500 0.500 0.217
```

Main lines, by intensity (10 to 90 degrees two-theta):
- 2θ 42.8, intensity 100.0
- 2θ 43.7, intensity 91.5
- 2θ 17.7, intensity 88.0
- 2θ 50.7, intensity 57.6
- 2θ 30.1, intensity 55.0
- 2θ 73.6, intensity 35.1


# 6
The following is a computed X-ray powder pattern of AcTh2SiN5. It was derived from a structure optimized by DFT (GGA-PBE), using Cu Kα (λ = 1.5418 Å).
Neutral-atom scattering factors, no anomalous dispersion.

Structure:
```
AcTh2SiN5
1.0
6.794 0.000 0.000
0.000 6.794 0.000
0.000 0.000 5.823
Ac Th Si N
2 4 2 10
direct
0.000 0.000 0.000
0.500 0.500 0.000
0.180 0.320 0.500
0.320 0.820 0.500
0.680 0.180 0.500
0.820 0.680 0.500
0.000 0.500 0.000
0.500 0.000 0.000
0.000 0.000 0.500
0.135 0.635 0.222
0.135 0.635 0.778
0.365 0.135 0.222
0.365 0.135 0.778
0.500 0.500 0.500
0.635 0.865 0.222
0.635 0.865 0.778
0.865 0.365 0.222
0.865 0.365 0.778
```

Main lines, by intensity (10 to 90 degrees two-theta):
- 2θ 30.5, intensity 100.0
- 2θ 33.3, intensity 60.8
- 2θ 24.0, intensity 42.7
- 2θ 30.7, intensity 39.5
- 2θ 43.0, intensity 35.8
- 2θ 29.4, intensity 29.6


# 7
The following is a computed X-ray powder pattern of Pm6Ga2Au. It was derived from a structure optimized by DFT (GGA-PBE), using Cu Kα (λ = 1.5418 Å).
Neutral-atom scattering factors, no anomalous dispersion.

Structure:
```
Pm6Ga2Au
1.0
8.031 -3.624 0.000
8.031 3.624 0.000
-1.578 0.000 4.787
Pm Ga Au
6 2 1
direct
0.082 0.586 0.334
0.250 0.750 0.000
0.414 0.918 0.666
0.586 0.082 0.334
0.750 0.250 0.000
0.918 0.414 0.666
0.333 0.333 0.833
0.667 0.667 0.167
0.000 0.000 0.500
```

Main lines, by intensity (10 to 90 degrees two-theta):
- 2θ 35.3, intensity 100.0
- 2θ 35.6, intensity 19.4
- 2θ 24.9, intensity 19.0
- 2θ 63.3, intensity 14.6
- 2θ 63.7, intensity 14.3
- 2θ 51.0, intensity 14.0


# 8
The following is a computed X-ray powder pattern of La6PrPu. It was derived from a structure optimized by DFT (GGA-PBE), using Cu Kα (λ = 1.5418 Å).
Neutral-atom scattering factors, no anomalous dispersion.

Structure:
```
La6PrPu
1.0
0.000 5.191 7.293
3.695 0.000 7.293
3.695 5.191 0.000
La Pr Pu
6 1 1
direct
0.123 0.123 0.377
0.239 0.239 0.761
0.377 0.377 0.123
0.623 0.623 0.877
0.761 0.761 0.239
0.877 0.877 0.623
0.500 0.500 0.500
0.000 0.000 0.000
```

Main lines, by intensity (10 to 90 degrees two-theta):
- 2θ 29.7, intensity 100.0
- 2θ 34.6, intensity 99.1
- 2θ 29.9, intensity 95.9
- 2θ 49.7, intensity 47.2
- 2θ 58.8, intensity 28.5
- 2θ 59.3, intensity 26.3


# 9
The following is a computed X-ray powder pattern of K2CaAlP2. It was derived from a structure optimized by DFT (GGA-PBE), using Cu Kα (λ = 1.5418 Å).
Neutral-atom scattering factors, no anomalous dispersion.

Structure:
```
K2CaAlP2
1.0
-3.462 7.557 3.309
3.462 -7.557 3.309
3.462 7.557 -3.309
K Ca Al P
4 2 2 4
direct
0.190 0.195 0.385
0.310 0.695 0.004
0.690 0.305 0.996
0.810 0.805 0.615
0.250 0.750 0.500
0.750 0.250 0.500
0.250 0.250 0.000
0.750 0.750 0.000
0.079 0.796 0.875
0.421 0.296 0.717
0.579 0.704 0.283
0.921 0.204 0.125
```

Main lines, by intensity (10 to 90 degrees two-theta):
- 2θ 30.1, intensity 100.0
- 2θ 37.6, intensity 51.1
- 2θ 11.7, intensity 32.5
- 2θ 29.5, intensity 27.9
- 2θ 28.4, intensity 25.7
- 2θ 49.6, intensity 22.5


# 10
The following is a computed X-ray powder pattern of Ca2YAgO5. It was derived from a structure optimized by DFT (GGA-PBE), using Cu Kα (λ = 1.5418 Å).
Neutral-atom scattering factors, no anomalous dispersion.

Structure:
```
Ca2YAgO5
1.0
5.942 0.000 0.000
-1.561 6.304 0.000
-1.622 -2.105 7.192
Ca Y Ag O
4 2 2 10
direct
0.000 0.000 0.000
0.153 0.241 0.563
0.363 0.549 0.033
0.678 0.611 0.590
0.016 0.705 0.310
0.597 0.143 0.244
0.334 0.850 0.742
0.738 0.303 0.832
0.015 0.470 0.760
0.021 0.898 0.620
0.268 0.595 0.510
0.270 0.859 0.159
0.434 0.163 0.932
0.538 0.232 0.552
0.615 0.758 0.878
0.645 0.503 0.280
0.901 0.016 0.283
0.982 0.362 0.085
```

Main lines, by intensity (10 to 90 degrees two-theta):
- 2θ 31.2, intensity 100.0
- 2θ 18.2, intensity 60.9
- 2θ 31.5, intensity 47.5
- 2θ 28.6, intensity 45.2
- 2θ 30.6, intensity 42.0
- 2θ 39.2, intensity 36.3


# 11
The following is a computed X-ray powder pattern of YEr2Rh2. It was derived from a structure optimized by DFT (GGA-PBE), using Cu Kα (λ = 1.5418 Å).
Neutral-atom scattering factors, no anomalous dispersion.

Structure:
```
YEr2Rh2
1.0
5.459 0.000 0.000
0.000 4.344 0.000
-1.325 0.000 10.266
Y Er Rh
2 4 4
direct
0.094 0.250 0.290
0.906 0.750 0.710
0.249 0.250 0.969
0.387 0.250 0.618
0.613 0.750 0.382
0.751 0.750 0.031
0.161 0.750 0.472
0.266 0.750 0.142
0.734 0.250 0.858
0.839 0.250 0.528
```

Main lines, by intensity (10 to 90 degrees two-theta):
- 2θ 35.4, intensity 100.0
- 2θ 33.3, intensity 95.9
- 2θ 41.2, intensity 81.5
- 2θ 35.8, intensity 79.5
- 2θ 38.9, intensity 76.5
- 2θ 41.6, intensity 68.7


# 12
The following is a computed X-ray powder pattern of Sr5ReN4F2. It was derived from a structure optimized by DFT (GGA-PBE), using Cu Kα (λ = 1.5418 Å).
Neutral-atom scattering factors, no anomalous dispersion.

Structure:
```
Sr5ReN4F2
1.0
7.405 0.000 0.000
0.000 5.148 3.088
0.000 -5.148 3.088
Sr Re N F
5 1 4 2
direct
0.000 0.000 0.000
0.266 0.288 0.633
0.266 0.633 0.288
0.734 0.288 0.633
0.734 0.633 0.288
0.500 0.961 0.961
0.312 0.167 0.167
0.500 0.642 0.946
0.500 0.946 0.642
0.688 0.167 0.167
0.000 0.408 0.964
0.000 0.964 0.408
```

Main lines, by intensity (10 to 90 degrees two-theta):
- 2θ 29.8, intensity 100.0
- 2θ 29.4, intensity 72.8
- 2θ 41.9, intensity 38.2
- 2θ 28.9, intensity 29.2
- 2θ 58.6, intensity 18.4
- 2θ 53.0, intensity 18.2


# 13
The following is a computed X-ray powder pattern of Pm5Dy2HoTh. It was derived from a structure optimized by DFT (GGA-PBE), using Cu Kα (λ = 1.5418 Å).
Neutral-atom scattering factors, no anomalous dispersion.

Structure:
```
Pm5Dy2HoTh
1.0
2.821 -10.241 0.000
2.821 10.241 0.000
0.000 0.000 10.583
Pm Dy Ho Th
10 4 2 2
direct
0.014 0.986 0.500
0.276 0.724 0.794
0.293 0.707 0.186
0.386 0.614 0.507
0.481 0.519 0.226
0.519 0.481 0.726
0.614 0.386 0.007
0.707 0.293 0.686
0.724 0.276 0.294
0.986 0.014 0.000
0.113 0.887 0.219
0.115 0.885 0.793
0.885 0.115 0.293
0.887 0.113 0.719
0.406 0.594 0.940
0.594 0.406 0.440
0.199 0.801 0.493
0.801 0.199 0.993
```

Main lines, by intensity (10 to 90 degrees two-theta):
- 2θ 31.9, intensity 100.0
- 2θ 31.7, intensity 37.3
- 2θ 30.2, intensity 35.8
- 2θ 56.6, intensity 20.1
- 2θ 27.5, intensity 15.4
- 2θ 61.1, intensity 13.0